For AcYTlO2, DFT lattice parameters and positions (PBE) gives the theoretical powder diffraction line list in this record (Cu Kα, 1.54184 Å).
No peak broadening, texture or thermal motion is included.

```
data_AcYTlO2
_cell_length_a 4.077
_cell_length_b 4.077
_cell_length_c 14.101
_cell_angle_alpha 90.00
_cell_angle_beta 90.00
_cell_angle_gamma 90.00
_symmetry_space_group_name_H-M 'I 4 m m'
_symmetry_Int_Tables_number 107
_symmetry_space_group_name_Hall 'I 4 -2'
loop_
_atom_site_label
_atom_site_type_symbol
_atom_site_fract_x
_atom_site_fract_y
_atom_site_fract_z
_atom_site_occupancy
Ac1 Ac 0.000 0.000 0.000 1
Y1 Y 0.000 0.000 0.668 1
Tl1 Tl 0.000 0.000 0.335 1
O1 O 0.000 0.500 0.098 1
```

Top 10 peaks for 2θ from 15° to 90°, by angle:
hkl 1 0 3, 28.99°, intensity 100; hkl 1 1 0, 31.02°, intensity 37; hkl 0 0 6, 38.30°, intensity 11; hkl 2 0 0, 44.44°, intensity 18; hkl 1 1 6, 50.08°, intensity 25; hkl 2 1 3, 53.94°, intensity 36; hkl 2 0 6, 60.08°, intensity 12; hkl 1 0 9, 63.62°, intensity 11; hkl 2 1 9, 80.90°, intensity 11; hkl 3 1 6, 86.01°, intensity 11